This entry pairs a crystal structure of Ce5PuRh4 with its simulated powder diffractogram. Radiation: Cu Kα X-rays. Structure: a structure optimized by DFT (GGA-PBE).
Kinematic intensities with the Lorentz-polarization factor, no thermal factor.

The 10 most intense peaks (10° ≤ 2θ ≤ 90°), by angle:
2θ (°)	I/Imax
26.27	907
27.88	728
29.52	425
29.66	330
30.65	1000
34.64	411
37.30	385
39.50	918
44.97	523
54.75	408

Structure:
```
Ce5PuRh4
1.0
7.774 0.000 0.000
0.000 9.644 0.000
0.000 0.000 6.944
Ce Pu Rh
10 2 8
Direct
0.014 0.053 0.221
0.014 0.447 0.221
0.250 0.250 0.772
0.486 0.053 0.221
0.486 0.447 0.221
0.514 0.553 0.779
0.514 0.947 0.779
0.750 0.750 0.228
0.986 0.553 0.779
0.986 0.947 0.779
0.250 0.750 0.410
0.750 0.250 0.590
0.077 0.750 0.044
0.250 0.025 0.521
0.250 0.475 0.521
0.423 0.750 0.044
0.577 0.250 0.956
0.750 0.525 0.479
0.750 0.975 0.479
0.923 0.250 0.956
```

***

This entry pairs a crystal structure of CaAl2O2F6 with its simulated powder diffractogram. Radiation: Cu Kα X-rays. Structure: a structure optimized by DFT (GGA-PBE).
Kinematic intensities with the Lorentz-polarization factor, no thermal factor.

The 10 most intense peaks (10° ≤ 2θ ≤ 90°), by angle:
2θ (°)	I/Imax
19.62	1000
27.31	127
28.19	233
37.82	176
39.87	139
41.93	175
44.01	88
47.14	132
47.37	192
49.21	127

Structure:
```
CaAl2O2F6
1.0
3.382 -5.597 0.000
3.382 5.597 0.000
-0.391 0.000 7.677
Ca Al O F
2 4 4 12
Direct
0.030 0.970 0.750
0.970 0.030 0.250
0.000 0.500 0.000
0.367 0.633 0.750
0.500 0.000 0.500
0.633 0.367 0.250
0.055 0.595 0.763
0.405 0.945 0.737
0.595 0.055 0.263
0.945 0.405 0.237
0.047 0.798 0.037
0.202 0.953 0.463
0.272 0.338 0.709
0.314 0.612 0.992
0.338 0.272 0.209
0.388 0.686 0.508
0.612 0.314 0.492
0.662 0.728 0.791
0.686 0.388 0.008
0.728 0.662 0.291
0.798 0.047 0.537
0.953 0.202 0.963
```